Entry 1:
Diffraction record for Li3MnPCO7. The powder XRD pattern is theoretical, not measured: it uses a DFT-relaxed cell (GGA+U, the Materials Project) and Cu Kα X-rays.

The 10 most intense peaks (10° ≤ 2θ ≤ 90°), sorted by position:
- 2θ 10.34, I 43
- 2θ 16.39, I 62
- 2θ 19.01, I 29
- 2θ 19.80, I 40
- 2θ 24.39, I 36
- 2θ 24.93, I 35
- 2θ 25.63, I 55
- 2θ 25.97, I 27
- 2θ 34.72, I 100
- 2θ 36.59, I 30

Atomic structure:
abc: 8.5863 6.4815 9.8550
angles: 90.00 94.62 90.00
Space group P2_1/c (No. 14)
Symmetry-distinct sites (fractional):
Li (0.1009, 0.2478, 0.3651) [4 per cell]
Li (0.2836, 0.0127, 0.6327) [4 per cell]
Li (0.3509, 0.7463, 0.3603) [4 per cell]
Mn (0.2709, 0.0016, 0.1198) [4 per cell]
P (0.4075, 0.2486, 0.3902) [4 per cell]
C (0.0416, 0.7484, 0.3975) [4 per cell]
O (0.0704, 0.7411, 0.7727) [4 per cell]
O (0.1049, 0.2476, 0.0686) [4 per cell]
O (0.1525, 0.7409, 0.4953) [4 per cell]
O (0.3102, 0.0577, 0.3371) [4 per cell]
O (0.3097, 0.0616, 0.8397) [4 per cell]
O (0.4233, 0.2499, 0.0496) [4 per cell]
O (0.4256, 0.7450, 0.1599) [4 per cell]



Entry 2:
Diffraction record for V3P2C2N6O14. The powder XRD pattern is theoretical, not measured: it uses a DFT-relaxed cell (GGA+U, the Materials Project) and Cu Kα X-rays.

The 10 most intense peaks (10° ≤ 2θ ≤ 90°), sorted by position:
- 2θ 14.24, I 39
- 2θ 14.35, I 67
- 2θ 14.77, I 100
- 2θ 16.83, I 55
- 2θ 18.52, I 52
- 2θ 19.94, I 81
- 2θ 27.62, I 33
- 2θ 28.82, I 58
- 2θ 28.96, I 46
- 2θ 31.58, I 35

Atomic structure:
abc: 12.4533 7.1973 17.9981
angles: 90.00 97.55 90.00
Space group C2/c (No. 15)
Symmetry-distinct sites (fractional):
V (0.0000, 0.1772, 0.2500) [4 per cell]
V (0.2352, 0.0815, 0.7406) [8 per cell]
P (0.1923, 0.1358, 0.3821) [8 per cell]
C (0.0671, 0.2862, 0.9765) [8 per cell]
N (0.0195, 0.1984, 0.5613) [8 per cell]
N (0.0762, 0.2994, 0.0522) [8 per cell]
N (0.1437, 0.3629, 0.9391) [8 per cell]
O (0.0684, 0.1360, 0.3527) [8 per cell]
O (0.0991, 0.3287, 0.2306) [8 per cell]
O (0.1002, 0.0421, 0.7255) [8 per cell]
O (0.2065, 0.1210, 0.4690) [8 per cell]
O (0.2190, 0.3599, 0.7726) [8 per cell]
O (0.2427, 0.0400, 0.8499) [8 per cell]
O (0.2455, 0.3131, 0.3553) [8 per cell]



Entry 3:
Diffraction record for Li3FeO3. The powder XRD pattern is theoretical, not measured: it uses a DFT-relaxed cell (GGA+U, the Materials Project) and Cu Kα X-rays.

The 10 most intense peaks (10° ≤ 2θ ≤ 90°), sorted by position:
- 2θ 18.36, I 14
- 2θ 21.08, I 34
- 2θ 23.81, I 100
- 2θ 30.35, I 26
- 2θ 35.66, I 15
- 2θ 37.23, I 14
- 2θ 38.64, I 18
- 2θ 43.41, I 23
- 2θ 50.18, I 12
- 2θ 62.69, I 20

Atomic structure:
abc: 5.9047 5.8860 8.4295
angles: 90.00 90.00 90.00
Space group Pnma (No. 62)
Symmetry-distinct sites (fractional):
Li (0.0056, 0.0175, 0.2487) [8 per cell]
Li (0.2445, 0.7500, 0.9758) [4 per cell]
Fe (0.2190, 0.2500, 0.0172) [4 per cell]
O (0.0000, 0.0000, 0.0000) [4 per cell]
O (0.0231, 0.7500, 0.3902) [4 per cell]
O (0.2400, 0.7500, 0.7378) [4 per cell]



Entry 4:
Diffraction record for Li9Mn2Co5O16. The powder XRD pattern is theoretical, not measured: it uses a DFT-relaxed cell (GGA+U, the Materials Project) and Cu Kα X-rays.

The 10 most intense peaks (10° ≤ 2θ ≤ 90°), sorted by position:
- 2θ 18.30, I 100
- 2θ 35.75, I 14
- 2θ 35.88, I 14
- 2θ 36.21, I 13
- 2θ 37.53, I 8
- 2θ 43.22, I 28
- 2θ 43.42, I 28
- 2θ 43.89, I 26
- 2θ 47.61, I 9
- 2θ 63.11, I 15

Atomic structure:
abc: 5.1384 5.8890 10.0897
angles: 90.16 99.91 106.43
Space group P1 (No. 1)
Symmetry-distinct sites (fractional):
Li (0.0000, 0.0000, 0.0000) [1 per cell]
Li (0.0000, 0.4963, 0.9994) [1 per cell]
Li (0.0016, 0.7450, 0.2535) [1 per cell]
Li (0.0028, 0.4967, 0.5035) [1 per cell]
Li (0.0037, 0.2382, 0.7611) [1 per cell]
Li (0.0043, 0.9947, 0.5063) [1 per cell]
Li (0.0067, 0.7525, 0.7570) [1 per cell]
Li (0.5010, 0.1193, 0.8799) [1 per cell]
Li (0.9980, 0.2442, 0.2540) [1 per cell]
Mn (0.4974, 0.8713, 0.6310) [1 per cell]
Mn (0.5039, 0.8774, 0.1267) [1 per cell]
Co (0.5000, 0.1227, 0.3803) [1 per cell]
Co (0.5011, 0.3661, 0.1203) [1 per cell]
Co (0.5011, 0.6282, 0.8796) [1 per cell]
Co (0.5027, 0.6164, 0.3788) [1 per cell]
Co (0.5092, 0.3649, 0.6421) [1 per cell]
O (0.2712, 0.5744, 0.6888) [1 per cell]
O (0.2721, 0.8116, 0.4498) [1 per cell]
O (0.2731, 0.0506, 0.6851) [1 per cell]
O (0.2732, 0.3292, 0.9486) [1 per cell]
O (0.2739, 0.8067, 0.9543) [1 per cell]
O (0.2771, 0.3042, 0.4423) [1 per cell]
O (0.2778, 0.0548, 0.1895) [1 per cell]
O (0.2836, 0.5805, 0.1968) [1 per cell]
O (0.7174, 0.6834, 0.5610) [1 per cell]
O (0.7252, 0.9348, 0.3117) [1 per cell]
O (0.7277, 0.9137, 0.8061) [1 per cell]
O (0.7287, 0.1605, 0.5701) [1 per cell]
O (0.7305, 0.6923, 0.0691) [1 per cell]
O (0.7317, 0.4286, 0.3125) [1 per cell]
O (0.7331, 0.1659, 0.0742) [1 per cell]
O (0.7368, 0.4401, 0.8088) [1 per cell]



Entry 5:
Diffraction record for MoN2OF5. The powder XRD pattern is theoretical, not measured: it uses a DFT-relaxed cell (GGA+U, the Materials Project) and Cu Kα X-rays.

The 10 most intense peaks (10° ≤ 2θ ≤ 90°), sorted by position:
- 2θ 16.52, I 100
- 2θ 16.65, I 51
- 2θ 20.31, I 48
- 2θ 23.24, I 21
- 2θ 23.65, I 29
- 2θ 26.39, I 37
- 2θ 28.72, I 22
- 2θ 37.76, I 16
- 2θ 39.45, I 31
- 2θ 49.47, I 19

Atomic structure:
abc: 5.6937 15.0430 7.6555
angles: 90.00 90.00 90.00
Space group Cmc2_1 (No. 36)
Symmetry-distinct sites (fractional):
Mo (0.0000, 0.1117, 0.0000) [4 per cell]
N (0.0000, 0.2311, 0.4967) [4 per cell]
N (0.0000, 0.4429, 0.9875) [4 per cell]
O (0.0000, 0.0089, 0.5044) [4 per cell]
F (0.0000, 0.2414, 0.9949) [4 per cell]
F (0.2352, 0.1162, 0.8256) [8 per cell]
F (0.2346, 0.1198, 0.1748) [8 per cell]